Diffraction record for TbDy2TmPt4. The powder diffractogram is computed, not measured: it uses a DFT-relaxed cell (PBE, OQMD) and a wavelength of 1.5418 Å.
Lines closer than 0.1° are merged.

Cell and atoms:
```
TbDy2TmPt4
1.0
4.8974 0.0000 0.0000
0.0000 4.8974 0.0000
0.0000 0.0000 6.9292
Tb Dy Tm Pt
1 2 1 4
direct
0.0000 0.0000 0.0000
0.0000 0.0000 0.5000
0.5000 0.5000 0.0000
0.5000 0.5000 0.5000
0.0000 0.5000 0.2514
0.0000 0.5000 0.7486
0.5000 0.0000 0.2514
0.5000 0.0000 0.7486
```

Most intense lines, 5 to 70 degrees two-theta, in order of rising 2θ:
(1 1 0), 2θ 25.72, intensity 1; (2 0 0), 2θ 36.70, intensity 100; (2 2 0), 2θ 52.87, intensity 18; (3 1 2), 2θ 66.08, intensity 36

***

Diffraction record for DyTlPt. The powder diffractogram is computed, not measured: it uses a DFT-relaxed cell (PBE, OQMD) and a wavelength of 1.5418 Å.
Lines closer than 0.1° are merged.

Cell and atoms:
```
DyTlPt
1.0
6.7189 0.0000 0.0000
0.0000 6.7189 0.0000
0.0000 0.0000 6.7189
Dy Tl Pt
4 4 4
direct
0.0000 0.0000 0.0000
0.0000 0.5000 0.5000
0.5000 0.0000 0.5000
0.5000 0.5000 0.0000
0.2500 0.2500 0.2500
0.2500 0.7500 0.7500
0.7500 0.2500 0.7500
0.7500 0.7500 0.2500
0.0000 0.0000 0.5000
0.0000 0.5000 0.0000
0.5000 0.0000 0.0000
0.5000 0.5000 0.5000
```

Most intense lines, 5 to 70 degrees two-theta, in order of rising 2θ:
(1 1 1), 2θ 22.93, intensity 32; (2 0 0), 2θ 26.53, intensity 10; (2 2 0), 2θ 37.87, intensity 100; (3 1 1), 2θ 44.74, intensity 17; (4 0 0), 2θ 54.64, intensity 18; (3 3 1), 2θ 60.02, intensity 7; (4 2 0), 2θ 61.74, intensity 4; (4 2 2), 2θ 68.40, intensity 36

***

Diffraction record for DyYTl2Pt4. The powder diffractogram is computed, not measured: it uses a DFT-relaxed cell (PBE, OQMD) and a wavelength of 1.5418 Å.
Lines closer than 0.1° are merged.

Cell and atoms:
```
DyYTl2Pt4
1.0
4.6439 0.0000 0.0000
-2.3220 4.0218 0.0000
0.0000 0.0000 8.9683
Dy Y Tl Pt
1 1 2 4
direct
0.0000 0.0000 0.0000
0.3333 0.6667 0.5000
0.6667 0.3333 0.2499
0.6667 0.3333 0.7501
0.0000 0.0000 0.3435
0.0000 0.0000 0.6565
0.3333 0.6667 0.1549
0.3333 0.6667 0.8451
```

Most intense lines, 5 to 70 degrees two-theta, in order of rising 2θ:
(0 0 2), 2θ 19.80, intensity 17; (1 0 2), 2θ 29.84, intensity 30; (1 0 3), 2θ 37.49, intensity 82; (1 1 0), 2θ 38.78, intensity 100; (1 0 4), 2θ 46.36, intensity 20; (2 0 3), 2θ 55.04, intensity 27; (1 0 6), 2θ 66.77, intensity 16; (2 1 3), 2θ 69.36, intensity 28

***

Diffraction record for DyY3Pt4. The powder diffractogram is computed, not measured: it uses a DFT-relaxed cell (PBE, OQMD) and a wavelength of 1.5418 Å.
Lines closer than 0.1° are merged.

Cell and atoms:
```
DyY3Pt4
1.0
5.5781 0.0000 0.0000
0.0000 4.5083 0.0000
-0.0149 0.0000 7.0553
Dy Y Pt
1 3 4
direct
0.0000 0.0000 0.0000
0.2802 0.5000 0.6362
0.4998 0.5000 0.1362
0.7803 0.0000 0.5001
0.2929 0.0000 0.3611
0.4861 0.0000 0.8630
0.7946 0.5000 0.7754
0.9868 0.5000 0.2726
```

Most intense lines, 5 to 70 degrees two-theta, in order of rising 2θ:
(1 0 -1), 2θ 20.29, intensity 35; (0 1 2), 2θ 32.22, intensity 63; (2 0 -1), 2θ 34.58, intensity 33; (1 1 2), 2θ 36.12, intensity 100; (0 2 0), 2θ 40.04, intensity 95; (2 1 1), 2θ 40.13, intensity 51; (1 0 4), 2θ 54.57, intensity 21; (1 2 4), 2θ 69.77, intensity 20